The following is a simulated XRD peak list of InP. It was derived from a structure optimized by DFT (PBE), using a wavelength of 1.5418 Å.
Intensities are scaled so that the largest is 100.

Structural model:
abc: 4.2004 4.2004 6.8933
angles: 90.00 90.00 120.00
Space group P6_3mc (No. 186)
Asymmetric unit:
In: 0.3333 0.6667 0.0000 [2 per cell]
P: 0.3333 0.6667 0.3746 [2 per cell]

Main lines, by angle (10° ≤ 2θ ≤ 90°):
| 2theta | I/Imax | h k l |
| --- | --- | --- |
| 24.47 | 54 | 1 0 0 |
| 25.85 | 41 | 0 0 2 |
| 27.73 | 100 | 1 0 1 |
| 35.89 | 26 | 1 0 2 |
| 43.07 | 46 | 1 1 0 |
| 46.76 | 48 | 1 0 3 |
| 50.92 | 37 | 1 1 2 |
| 52.00 | 17 | 2 0 1 |
| 65.45 | 17 | 2 0 3 |
| 69.75 | 14 | 2 1 1 |
| 73.45 | 12 | 1 0 5 |
| 81.60 | 18 | 2 1 3 |